No. 1
Starting from a structure optimized by DFT (GGA+U), the powder XRD pattern of Li2VF7 was calculated for CuKα.

Largest 10 diffraction maxima, low angle first, 2θ from 5° to 70°:
| two_theta | d/Å | I (rel.) |
| --- | --- | --- |
| 17.87 | 4.964 | 100 |
| 18.98 | 4.675 | 55 |
| 20.10 | 4.419 | 61 |
| 23.58 | 3.773 | 18 |
| 33.26 | 2.693 | 12 |
| 38.51 | 2.337 | 13 |
| 40.84 | 2.209 | 36 |
| 48.24 | 1.887 | 13 |
| 53.22 | 1.721 | 15 |
| 65.01 | 1.435 | 17 |

Structural model:
```
data_Li2VF7
_symmetry_space_group_name_H-M 'I m m 2'
_symmetry_Int_Tables_number 44
_symmetry_space_group_name_Hall 'I 2 -2'
_cell_length_a 5.9556
_cell_length_b 6.5903
_cell_length_c 7.5461
_cell_angle_alpha 90.00
_cell_angle_beta 90.00
_cell_angle_gamma 90.00
loop_
_atom_site_label
_atom_site_type_symbol
_atom_site_fract_x
_atom_site_fract_y
_atom_site_fract_z
Li1 Li 0.0000 0.2341 0.0000
V1 V 0.0000 0.5000 0.3735
F1 F 0.0000 0.0000 0.1120
F2 F 0.0000 0.5000 0.1181
F3 F 0.0000 0.5000 0.6063
F4 F 0.2157 0.3055 0.3613
```

No. 2
Starting from a structure optimized by DFT (GGA+U), the powder XRD pattern of MnAlBiO5 was calculated for CuKα.

Largest 10 diffraction maxima, low angle first, 2θ from 5° to 70°:
| two_theta | d/Å | I (rel.) |
| --- | --- | --- |
| 15.38 | 5.762 | 88 |
| 23.95 | 3.715 | 27 |
| 26.04 | 3.421 | 34 |
| 28.58 | 3.123 | 75 |
| 30.39 | 2.942 | 100 |
| 33.60 | 2.667 | 32 |
| 37.14 | 2.421 | 22 |
| 40.95 | 2.204 | 53 |
| 54.81 | 1.675 | 28 |
| 58.73 | 1.572 | 25 |

Structural model:
```
data_MnAlBiO5
_symmetry_space_group_name_H-M 'P b a m'
_symmetry_Int_Tables_number 55
_symmetry_space_group_name_Hall '-P 2 2ab'
_cell_length_a 7.4633
_cell_length_b 8.5680
_cell_length_c 5.7617
_cell_angle_alpha 90.00
_cell_angle_beta 90.00
_cell_angle_gamma 90.00
loop_
_atom_site_label
_atom_site_type_symbol
_atom_site_fract_x
_atom_site_fract_y
_atom_site_fract_z
Mn1 Mn 0.0000 0.0000 0.2431
Al1 Al 0.1107 0.3585 0.0000
Bi1 Bi 0.1379 0.6667 0.5000
O1 O 0.0000 0.5000 0.2098
O2 O 0.1036 0.2087 0.2411
O3 O 0.1567 0.9471 0.5000
O4 O 0.1577 0.9302 0.0000
```